No. 1
Structure and calculated PXRD pattern of YFe2O4 (a PBE+U-relaxed structure; Cu Kα, 1.54184 Å).

Peak list (10 most intense, 2θ = 15–90°, most intense first)
hkl 1 2 1, 2.494 Å, 36.01 deg, I 1000; hkl 1 0 3, 2.901 Å, 30.82 deg, I 340; hkl 1 1 2, 3.165 Å, 28.19 deg, I 273; hkl 2 2 4, 1.583 Å, 58.30 deg, I 221; hkl 1 0 5, 1.903 Å, 47.81 deg, I 190; hkl 3 1 2, 1.711 Å, 53.56 deg, I 159; hkl 2 3 1, 1.576 Å, 58.58 deg, I 142; hkl 3 0 3, 1.665 Å, 55.15 deg, I 142; hkl 2 1 7, 1.257 Å, 75.69 deg, I 71; hkl 4 1 3, 1.288 Å, 73.50 deg, I 70

```
data_YFe2O4
_chemical_formula_sum 'Y4 Fe8 O16'
_space_group_name_H-M_alt 'I 41/a'
_space_group_IT_number 88
_cell_length_a 5.7520
_cell_length_b 5.7520
_cell_length_c 10.0799
_cell_angle_alpha 90.00
_cell_angle_beta 90.00
_cell_angle_gamma 90.00
loop_
_space_group_symop_operation_xyz
'x,y,z'
'-x,-y,-z'
'-y+3/4,x+1/4,z+1/4'
'y+3/4,-x+1/4,-z+1/4'
'-x+1/2,-y,z+1/2'
'x+1/2,y,-z+1/2'
'y+3/4,-x+3/4,z+3/4'
'-y+3/4,x+3/4,-z+3/4'
'x+1/2,y+1/2,z+1/2'
'-x+1/2,-y+1/2,-z+1/2'
'-y+1/4,x+3/4,z+3/4'
'y+1/4,-x+3/4,-z+3/4'
'-x,-y+1/2,z'
'x,y+1/2,-z'
'y+1/4,-x+1/4,z+1/4'
'-y+1/4,x+1/4,-z+1/4'
loop_
_atom_site_label
_atom_site_type_symbol
_atom_site_fract_x
_atom_site_fract_y
_atom_site_fract_z
_atom_site_occupancy
Y1 Y 0.0000 0.2500 0.1250 1
Fe1 Fe 0.0000 0.0000 0.5000 1
O1 O 0.1495 0.4499 0.3213 1
```

No. 2
Structure and calculated PXRD pattern of YFe2O4 (a PBE+U-relaxed structure; Cu Kα, 1.54184 Å).

Peak list (10 most intense, 2θ = 15–90°, most intense first)
hkl 0 1 -1, 3.045 Å, 29.33 deg, I 1000; hkl 1 1 3, 2.759 Å, 32.45 deg, I 906; hkl 1 0 4, 2.622 Å, 34.20 deg, I 793; hkl 2 1 1, 1.771 Å, 51.61 deg, I 782; hkl 0 1 -7, 1.950 Å, 46.58 deg, I 548; hkl 0 0 6, 2.807 Å, 31.88 deg, I 535; hkl 0 1 9, 1.555 Å, 59.43 deg, I 403; hkl 2 1 7, 1.497 Å, 61.99 deg, I 289; hkl 0 0 4, 4.210 Å, 21.10 deg, I 240; hkl 2 2 10, 1.169 Å, 82.56 deg, I 147

```
data_YFe2O4
_chemical_formula_sum 'Y2 Fe4 O8'
_space_group_name_H-M_alt 'P 1'
_space_group_IT_number 1
_cell_length_a 3.5384
_cell_length_b 3.5422
_cell_length_c 16.9626
_cell_angle_alpha 89.94
_cell_angle_beta 84.02
_cell_angle_gamma 60.07
loop_
_space_group_symop_operation_xyz
'x,y,z'
loop_
_atom_site_label
_atom_site_type_symbol
_atom_site_fract_x
_atom_site_fract_y
_atom_site_fract_z
_atom_site_occupancy
Y1 Y 0.0000 0.0000 0.0000 1
Y2 Y 0.9999 0.5003 0.4997 1
Fe1 Fe 0.2135 0.3921 0.1803 1
Fe2 Fe 0.2139 0.8918 0.6802 1
Fe3 Fe 0.7853 0.1094 0.3195 1
Fe4 Fe 0.7881 0.6064 0.8197 1
O1 O 0.1249 0.9401 0.8068 1
O2 O 0.1299 0.4326 0.3074 1
O3 O 0.2918 0.3537 0.0626 1
O4 O 0.2919 0.8536 0.5625 1
O5 O 0.7080 0.1467 0.4373 1
O6 O 0.7090 0.6451 0.9374 1
O7 O 0.8688 0.0687 0.1931 1
O8 O 0.8691 0.5687 0.6926 1
```